1.
# CdAg2SnAu2
Calculated powder X-ray diffraction pattern, Cu Kα. Input: the GGA-PBE geometry in Alexandria.
No peak broadening, texture or thermal motion is included.

Peak list (10 most intense, 10° ≤ 2θ ≤ 80°, low angle first)
d [Å]	2θ/deg	I_rel
6.122	14.5	11
4.160	21.4	10
3.061	29.2	47
2.466	36.4	100
2.236	40.3	19
1.920	47.3	75
1.424	65.6	18
1.300	72.7	9
1.291	73.3	20
1.233	77.4	11

Atomic structure:
```
data_CdAg2SnAu2
_chemical_formula_sum 'Cd1 Ag2 Sn1 Au2'
_space_group_name_H-M_alt 'P 1'
_space_group_IT_number 1
_space_group_name_Hall 'P 1'
_cell_length_a 6.752
_cell_length_b 6.752
_cell_length_c 6.752
_cell_angle_alpha 42.85
_cell_angle_beta 42.85
_cell_angle_gamma 42.85
loop_
_atom_site_label
_atom_site_type_symbol
_atom_site_fract_x
_atom_site_fract_y
_atom_site_fract_z
_atom_site_occupancy
Cd1 Cd 0.000 0.000 0.000 1
Ag1 Ag 0.187 0.187 0.187 1
Ag2 Ag 0.813 0.813 0.813 1
Sn1 Sn 0.500 0.500 0.500 1
Au1 Au 0.345 0.345 0.345 1
Au2 Au 0.655 0.655 0.655 1
```


2.
# Ce2Ag2Au15
Calculated powder X-ray diffraction pattern, Cu Kα. Input: the GGA-PBE geometry in Alexandria.
No peak broadening, texture or thermal motion is included.

Peak list (10 most intense, 10° ≤ 2θ ≤ 80°, low angle first)
d [Å]	2θ/deg	I_rel
4.800	18.5	24
2.771	32.3	14
2.735	32.7	14
2.421	37.1	26
2.403	37.4	100
2.380	37.8	17
2.161	41.8	15
2.150	42.0	60
1.395	67.1	13
1.386	67.6	16

Atomic structure:
```
data_Ce2Ag2Au15
_chemical_formula_sum 'Ce2 Ag2 Au15'
_space_group_name_H-M_alt 'P 1'
_space_group_IT_number 1
_space_group_name_Hall 'P 1'
_cell_length_a 7.359
_cell_length_b 7.359
_cell_length_c 7.359
_cell_angle_alpha 81.42
_cell_angle_beta 81.42
_cell_angle_gamma 81.42
loop_
_atom_site_label
_atom_site_type_symbol
_atom_site_fract_x
_atom_site_fract_y
_atom_site_fract_z
_atom_site_occupancy
Ce1 Ce 0.157 0.157 0.157 1
Ce2 Ce 0.843 0.843 0.843 1
Ag1 Ag 0.402 0.402 0.402 1
Ag2 Ag 0.598 0.598 0.598 1
Au1 Au 0.000 0.500 0.500 1
Au2 Au 0.144 0.144 0.656 1
Au3 Au 0.144 0.656 0.144 1
Au4 Au 0.197 0.500 0.803 1
Au5 Au 0.197 0.803 0.500 1
Au6 Au 0.344 0.856 0.856 1
Au7 Au 0.500 0.000 0.500 1
Au8 Au 0.500 0.197 0.803 1
Au9 Au 0.500 0.500 0.000 1
Au10 Au 0.500 0.803 0.197 1
Au11 Au 0.656 0.144 0.144 1
Au12 Au 0.803 0.197 0.500 1
Au13 Au 0.803 0.500 0.197 1
Au14 Au 0.856 0.344 0.856 1
Au15 Au 0.856 0.856 0.344 1
```


3.
# CeAgAu11
Calculated powder X-ray diffraction pattern, Cu Kα. Input: the GGA-PBE geometry in Alexandria.
No peak broadening, texture or thermal motion is included.

Peak list (10 most intense, 10° ≤ 2θ ≤ 80°, low angle first)
d [Å]	2θ/deg	I_rel
2.780	32.2	30
2.449	36.7	35
2.434	36.9	39
2.401	37.5	45
2.395	37.6	30
2.383	37.8	100
2.182	41.4	27
2.173	41.6	51
2.161	41.8	23
2.130	42.4	48

Atomic structure:
```
data_CeAgAu11
_chemical_formula_sum 'Ce1 Ag1 Au11'
_space_group_name_H-M_alt 'P 1'
_space_group_IT_number 1
_space_group_name_Hall 'P 1'
_cell_length_a 7.314
_cell_length_b 7.314
_cell_length_c 7.281
_cell_angle_alpha 98.53
_cell_angle_beta 98.53
_cell_angle_gamma 134.25
loop_
_atom_site_label
_atom_site_type_symbol
_atom_site_fract_x
_atom_site_fract_y
_atom_site_fract_z
_atom_site_occupancy
Ce1 Ce 0.000 0.000 0.000 1
Ag1 Ag 0.000 0.000 0.500 1
Au1 Au 0.000 0.500 0.000 1
Au2 Au 0.006 0.661 0.653 1
Au3 Au 0.286 0.500 0.785 1
Au4 Au 0.339 0.994 0.347 1
Au5 Au 0.500 0.000 0.000 1
Au6 Au 0.500 0.286 0.785 1
Au7 Au 0.500 0.500 0.500 1
Au8 Au 0.500 0.714 0.215 1
Au9 Au 0.661 0.006 0.653 1
Au10 Au 0.714 0.500 0.215 1
Au11 Au 0.994 0.339 0.347 1
```